1.
Diffraction record for Sn2Pb2Se3Cl2. The X-ray diffraction stick pattern is computed, not measured: it uses a cell relaxed with GGA-PBE and Cu Kα (λ = 1.5418 Å).
Lines closer than 0.1° are merged.

The 8 most intense peaks (2θ = 5–70°), by angle:
| Position (°2θ) | Rel. int. |
| --- | --- |
| 23.99 | 44 |
| 24.33 | 42 |
| 30.05 | 100 |
| 33.76 | 42 |
| 38.81 | 52 |
| 43.02 | 38 |
| 45.81 | 36 |
| 49.85 | 26 |

```
data_Sn2Pb2Se3Cl2
_cell_length_a 8.527
_cell_length_b 8.527
_cell_length_c 8.527
_cell_angle_alpha 139.18
_cell_angle_beta 139.18
_cell_angle_gamma 59.10
_space_group_name_H-M_alt 'P 1'
_space_group_IT_number 1
loop_
_space_group_symop_operation_xyz
'x,y,z'
loop_
_atom_site_label
_atom_site_type_symbol
_atom_site_fract_x
_atom_site_fract_y
_atom_site_fract_z
Sn1 Sn 0.000 0.500 0.500
Sn2 Sn 0.500 0.000 0.500
Pb1 Pb 0.215 0.215 0.000
Pb2 Pb 0.785 0.785 0.000
Se1 Se 0.000 0.000 0.000
Se2 Se 0.250 0.750 0.500
Se3 Se 0.750 0.250 0.500
Cl1 Cl 0.403 0.403 0.000
Cl2 Cl 0.597 0.597 0.000
```

***

2.
Diffraction record for Sm2Dy4Tl. The X-ray diffraction stick pattern is computed, not measured: it uses a cell relaxed with GGA-PBE and Cu Kα (λ = 1.5418 Å).
Lines closer than 0.1° are merged.

The 8 most intense peaks (2θ = 5–70°), by angle:
| Position (°2θ) | Rel. int. |
| --- | --- |
| 30.70 | 54 |
| 31.12 | 17 |
| 31.63 | 100 |
| 32.25 | 19 |
| 33.88 | 43 |
| 34.34 | 15 |
| 34.75 | 26 |
| 51.59 | 17 |

```
data_Sm2Dy4Tl
_cell_length_a 20.365
_cell_length_b 3.544
_cell_length_c 12.166
_cell_angle_alpha 90.00
_cell_angle_beta 90.00
_cell_angle_gamma 90.00
_space_group_name_H-M_alt 'P 1'
_space_group_IT_number 1
loop_
_space_group_symop_operation_xyz
'x,y,z'
loop_
_atom_site_label
_atom_site_type_symbol
_atom_site_fract_x
_atom_site_fract_y
_atom_site_fract_z
Sm1 Sm 0.052 0.250 0.098
Sm2 Sm 0.141 0.250 0.531
Sm3 Sm 0.359 0.750 0.031
Sm4 Sm 0.448 0.750 0.598
Sm5 Sm 0.552 0.250 0.402
Sm6 Sm 0.641 0.250 0.969
Sm7 Sm 0.859 0.750 0.469
Sm8 Sm 0.948 0.750 0.902
Dy1 Dy 0.001 0.250 0.377
Dy2 Dy 0.095 0.250 0.816
Dy3 Dy 0.196 0.750 0.004
Dy4 Dy 0.238 0.750 0.730
Dy5 Dy 0.262 0.250 0.230
Dy6 Dy 0.304 0.250 0.504
Dy7 Dy 0.405 0.750 0.316
Dy8 Dy 0.499 0.750 0.877
Dy9 Dy 0.501 0.250 0.123
Dy10 Dy 0.595 0.250 0.684
Dy11 Dy 0.696 0.750 0.496
Dy12 Dy 0.738 0.750 0.770
Dy13 Dy 0.762 0.250 0.270
Dy14 Dy 0.804 0.250 0.996
Dy15 Dy 0.905 0.750 0.184
Dy16 Dy 0.999 0.750 0.623
Tl1 Tl 0.133 0.750 0.292
Tl2 Tl 0.367 0.250 0.792
Tl3 Tl 0.633 0.750 0.208
Tl4 Tl 0.867 0.250 0.708
```

***

3.
Diffraction record for La12Ho5Pu. The X-ray diffraction stick pattern is computed, not measured: it uses a cell relaxed with GGA-PBE and Cu Kα (λ = 1.5418 Å).
Lines closer than 0.1° are merged.

The 8 most intense peaks (2θ = 5–70°), by angle:
| Position (°2θ) | Rel. int. |
| --- | --- |
| 29.83 | 100 |
| 30.06 | 98 |
| 34.54 | 34 |
| 34.80 | 66 |
| 49.84 | 48 |
| 59.01 | 15 |
| 59.21 | 29 |
| 59.62 | 28 |

```
data_La12Ho5Pu
_cell_length_a 10.972
_cell_length_b 10.972
_cell_length_c 6.356
_cell_angle_alpha 106.77
_cell_angle_beta 106.77
_cell_angle_gamma 59.42
_space_group_name_H-M_alt 'P 1'
_space_group_IT_number 1
loop_
_space_group_symop_operation_xyz
'x,y,z'
loop_
_atom_site_label
_atom_site_type_symbol
_atom_site_fract_x
_atom_site_fract_y
_atom_site_fract_z
La1 La 0.002 0.669 0.170
La2 La 0.164 0.502 0.668
La3 La 0.166 0.834 0.000
La4 La 0.325 0.675 0.500
La5 La 0.331 0.998 0.830
La6 La 0.498 0.836 0.332
La7 La 0.502 0.164 0.668
La8 La 0.669 0.002 0.170
La9 La 0.675 0.325 0.500
La10 La 0.834 0.166 0.000
La11 La 0.836 0.498 0.332
La12 La 0.998 0.331 0.830
Ho1 Ho 0.165 0.165 0.336
Ho2 Ho 0.333 0.333 0.170
Ho3 Ho 0.500 0.500 0.000
Ho4 Ho 0.667 0.667 0.830
Ho5 Ho 0.835 0.835 0.664
Pu1 Pu 0.000 0.000 0.500
```

***

4.
Diffraction record for Ti4AlIr. The X-ray diffraction stick pattern is computed, not measured: it uses a cell relaxed with GGA-PBE and Cu Kα (λ = 1.5418 Å).
Lines closer than 0.1° are merged.

The 8 most intense peaks (2θ = 5–70°), by angle:
| Position (°2θ) | Rel. int. |
| --- | --- |
| 14.91 | 62 |
| 17.84 | 23 |
| 19.60 | 32 |
| 30.12 | 24 |
| 39.74 | 100 |
| 39.80 | 33 |
| 41.07 | 60 |
| 59.48 | 19 |

```
data_Ti4AlIr
_cell_length_a 5.433
_cell_length_b 5.433
_cell_length_c 6.219
_cell_angle_alpha 106.48
_cell_angle_beta 106.48
_cell_angle_gamma 33.23
_space_group_name_H-M_alt 'P 1'
_space_group_IT_number 1
loop_
_space_group_symop_operation_xyz
'x,y,z'
loop_
_atom_site_label
_atom_site_type_symbol
_atom_site_fract_x
_atom_site_fract_y
_atom_site_fract_z
Ti1 Ti 0.162 0.162 0.339
Ti2 Ti 0.166 0.166 0.827
Ti3 Ti 0.834 0.834 0.173
Ti4 Ti 0.838 0.838 0.661
Al1 Al 0.500 0.500 0.000
Ir1 Ir 0.500 0.500 0.500
```